This entry pairs a crystal structure of Fe2SiO4 with its computed powder XRD pattern. Radiation: Cu Kα (λ = 1.5418 Å). Structure: a cell relaxed with GGA+U.
Kinematic intensities with the Lorentz-polarization factor, no thermal factor.

Top 6 peaks for 2θ from 10° to 90°, sorted by position:
h k l, 2theta, I_rel
-1 1 1, 24.7, 66
1 0 3, 31.3, 91
0 2 2, 33.6, 34
1 1 -3, 34.5, 65
1 2 -1, 35.4, 100
2 2 -2, 50.7, 76

Cell and atoms:
```
data_Fe2SiO4
_chemical_formula_sum 'Fe8 Si4 O16'
_cell_length_a 4.882
_cell_length_b 6.172
_cell_length_c 10.600
_cell_angle_alpha 90.04
_cell_angle_beta 90.06
_cell_angle_gamma 90.00
_symmetry_space_group_name_H-M 'P -1'
_symmetry_Int_Tables_number 2
loop_
_symmetry_equiv_pos_as_xyz
'x,y,z'
'-x,-y,-z'
loop_
_atom_site_label
_atom_site_type_symbol
_atom_site_fract_x
_atom_site_fract_y
_atom_site_fract_z
_atom_site_occupancy
Fe1 Fe 0.000 0.000 0.000 1
Fe2 Fe 0.000 0.500 0.000 1
Fe3 Fe 0.014 0.250 0.280 1
Fe4 Fe 0.486 0.250 0.780 1
Fe5 Fe 0.500 0.000 0.500 1
Fe6 Fe 0.500 0.500 0.500 1
Si1 Si 0.070 0.750 0.404 1
Si2 Si 0.428 0.750 0.904 1
O1 O 0.211 0.750 0.547 1
O2 O 0.212 0.963 0.335 1
O3 O 0.213 0.537 0.335 1
O4 O 0.235 0.250 0.091 1
O5 O 0.266 0.250 0.592 1
O6 O 0.288 0.536 0.835 1
O7 O 0.288 0.964 0.835 1
O8 O 0.289 0.750 0.048 1
```